Calculated powder XRD pattern of Pr4BrNCl4 for Cu Kα, from a cell relaxed with GGA-PBE.
Intensities are scaled so that the largest is 100.

Principal peaks in the range 2θ = 10–90°, low angle first:
2theta	d/Å	I (rel.)
10.40	8.510	42
10.94	8.089	48
31.51	2.839	100
31.66	2.826	22
44.65	2.029	18
45.69	1.986	20

```
Pr4BrNCl4
1.0
8.835 -1.929 0.000
8.835 1.929 0.000
-2.256 0.000 8.089
Pr Br N Cl
4 1 1 4
direct
0.001 0.001 0.296
0.355 0.355 0.415
0.645 0.645 0.585
0.999 0.999 0.704
0.500 0.500 0.000
0.500 0.500 0.500
0.165 0.165 0.842
0.171 0.171 0.348
0.829 0.829 0.652
0.835 0.835 0.158
```